# 1
Computed powder XRD pattern of Sm5Pu3S8 for Cu Kα X-rays, from a cell relaxed with GGA-PBE.
No peak broadening, texture or thermal motion is included.

Cell and atoms:
```
data_Sm5Pu3S8
_chemical_formula_sum 'Sm15 Pu9 S24'
_symmetry_space_group_name_H-M 'R -3 m'
_symmetry_Int_Tables_number 166
_symmetry_space_group_name_Hall '-R 3 2"'
_cell_length_a 7.9623
_cell_length_b 7.9623
_cell_length_c 19.6136
_cell_angle_alpha 90.00
_cell_angle_beta 90.00
_cell_angle_gamma 120.00
loop_
_atom_site_label
_atom_site_type_symbol
_atom_site_fract_x
_atom_site_fract_y
_atom_site_fract_z
Sm1 Sm 0.0000 0.0000 0.0000
Sm2 Sm 0.0000 0.0000 0.5000
Sm3 Sm 0.0000 0.5000 0.0000
Pu1 Pu 0.0000 0.5000 0.5000
S1 S 0.0000 0.0000 0.2480
S2 S 0.0024 0.5012 0.7511
```

Principal peaks in the range 10 to 90 degrees two-theta, low angle first:
- (0 0 6), d 3.269, 2θ = 27.28°, I = 228
- (2 0 2), d 3.253, 2θ = 27.42°, I = 675
- (0 2 4), d 2.820, 2θ = 31.73°, I = 1000
- (2 0 8), d 1.998, 2θ = 45.39°, I = 368
- (2 2 0), d 1.991, 2θ = 45.57°, I = 364
- (2 2 6), d 1.699, 2θ = 53.96°, I = 338
- (4 0 4), d 1.626, 2θ = 56.59°, I = 191
- (2 2 12), d 1.263, 2θ = 75.22°, I = 166
- (2 4 4), d 1.259, 2θ = 75.49°, I = 165
- (4 2 8), d 1.151, 2θ = 84.13°, I = 127

***

# 2
Computed powder XRD pattern of Y2Hg5 for Cu Kα X-rays, from a cell relaxed with GGA-PBE.
No peak broadening, texture or thermal motion is included.

Cell and atoms:
```
data_Y2Hg5
_chemical_formula_sum 'Y4 Hg10'
_symmetry_space_group_name_H-M 'C 1 2/m 1'
_symmetry_Int_Tables_number 12
_cell_length_a 8.9444
_cell_length_b 5.3466
_cell_length_c 8.3143
_cell_angle_alpha 90.00
_cell_angle_beta 118.06
_cell_angle_gamma 90.00
loop_
_symmetry_equiv_pos_as_xyz
'x,y,z'
'-x,-y,-z'
'-x,y,-z'
'x,-y,z'
'x+1/2,y+1/2,z'
'-x+1/2,-y+1/2,-z'
'-x+1/2,y+1/2,-z'
'x+1/2,-y+1/2,z'
loop_
_atom_site_label
_atom_site_type_symbol
_atom_site_fract_x
_atom_site_fract_y
_atom_site_fract_z
Y1 Y 0.2413 0.0000 0.1738
Hg1 Hg 0.0000 0.5000 0.0000
Hg2 Hg 0.0616 0.0000 0.7376
Hg3 Hg 0.1539 0.5000 0.4094
```

Principal peaks in the range 10 to 90 degrees two-theta, low angle first:
- (2 0 -3), d 2.733, 2θ = 32.77°, I = 515
- (0 2 0), d 2.673, 2θ = 33.52°, I = 598
- (3 1 -1), d 2.588, 2θ = 34.66°, I = 1000
- (1 1 2), d 2.517, 2θ = 35.67°, I = 945
- (2 2 -3), d 1.911, 2θ = 47.59°, I = 368
- (4 0 1), d 1.714, 2θ = 53.46°, I = 156
- (3 3 -1), d 1.527, 2θ = 60.67°, I = 201
- (1 1 -5), d 1.518, 2θ = 61.06°, I = 164
- (1 3 2), d 1.512, 2θ = 61.33°, I = 198
- (4 2 1), d 1.443, 2θ = 64.59°, I = 168

***

# 3
Computed powder XRD pattern of Sr4CaH10 for Cu Kα X-rays, from a cell relaxed with GGA-PBE.
No peak broadening, texture or thermal motion is included.

Cell and atoms:
```
data_Sr4CaH10
_chemical_formula_sum 'Sr12 Ca3 H30'
_symmetry_space_group_name_H-M 'R -3 m'
_symmetry_Int_Tables_number 166
_symmetry_space_group_name_Hall '-R 3 2"'
_cell_length_a 4.0750
_cell_length_b 4.0750
_cell_length_c 49.7536
_cell_angle_alpha 90.00
_cell_angle_beta 90.00
_cell_angle_gamma 120.00
loop_
_atom_site_label
_atom_site_type_symbol
_atom_site_fract_x
_atom_site_fract_y
_atom_site_fract_z
Sr1 Sr 0.0000 0.0000 0.1024
Sr2 Sr 0.0000 0.0000 0.2992
Ca1 Ca 0.0000 0.0000 0.5000
H1 H 0.0000 0.0000 0.0515
H2 H 0.0000 0.0000 0.1527
H3 H 0.0000 0.0000 0.2483
H4 H 0.0000 0.0000 0.3501
H5 H 0.0000 0.0000 0.4531
```

Principal peaks in the range 10 to 90 degrees two-theta, low angle first:
- (0 1 5), d 3.324, 2θ = 26.82°, I = 1000
- (1 0 10), d 2.878, 2θ = 31.07°, I = 470
- (1 1 0), d 2.035, 2θ = 44.51°, I = 387
- (2 0 5), d 1.737, 2θ = 52.71°, I = 331
- (1 0 25), d 1.733, 2θ = 52.81°, I = 104
- (0 2 10), d 1.663, 2θ = 55.23°, I = 92
- (1 2 5), d 1.322, 2θ = 71.34°, I = 90
- (2 1 10), d 1.288, 2θ = 73.51°, I = 80
- (3 0 0), d 1.176, 2θ = 81.94°, I = 93
- (3 0 15), d 1.108, 2θ = 88.14°, I = 101

***

# 4
Computed powder XRD pattern of Ba2Ge4Pt5 for Cu Kα X-rays, from a cell relaxed with GGA-PBE.
No peak broadening, texture or thermal motion is included.

Cell and atoms:
```
data_Ba2Ge4Pt5
_chemical_formula_sum 'Ba8 Ge16 Pt20'
_symmetry_space_group_name_H-M 'F m m m'
_symmetry_Int_Tables_number 69
_symmetry_space_group_name_Hall '-F 2 2'
_cell_length_a 5.7253
_cell_length_b 11.3478
_cell_length_c 14.8460
_cell_angle_alpha 90.00
_cell_angle_beta 90.00
_cell_angle_gamma 90.00
loop_
_atom_site_label
_atom_site_type_symbol
_atom_site_fract_x
_atom_site_fract_y
_atom_site_fract_z
Ba1 Ba 0.0000 0.0000 0.1365
Ge1 Ge 0.0000 0.1618 0.3759
Pt1 Pt 0.0000 0.0000 0.5000
Pt2 Pt 0.2500 0.2500 0.0000
Pt3 Pt 0.2500 0.2500 0.2500
```

Principal peaks in the range 10 to 90 degrees two-theta, low angle first:
- (0 2 0), d 5.674, 2θ = 15.62°, I = 596
- (0 2 4), d 3.106, 2θ = 28.74°, I = 685
- (0 4 0), d 2.837, 2θ = 31.54°, I = 607
- (1 3 3), d 2.661, 2θ = 33.68°, I = 736
- (2 2 0), d 2.556, 2θ = 35.11°, I = 1000
- (2 0 4), d 2.267, 2θ = 39.76°, I = 824
- (0 4 4), d 2.254, 2θ = 40.00°, I = 470
- (2 2 4), d 2.105, 2θ = 42.97°, I = 691
- (2 6 0), d 1.578, 2θ = 58.49°, I = 451
- (2 6 8), d 1.202, 2θ = 79.77°, I = 442

***

# 5
Computed powder XRD pattern of CdCuAg for Cu Kα X-rays, from a cell relaxed with GGA-PBE.
No peak broadening, texture or thermal motion is included.

Cell and atoms:
```
data_CdCuAg
_chemical_formula_sum 'Cd2 Cu2 Ag2'
_symmetry_space_group_name_H-M 'P -1'
_symmetry_Int_Tables_number 2
_cell_length_a 4.3856
_cell_length_b 5.2621
_cell_length_c 5.6438
_cell_angle_alpha 117.68
_cell_angle_beta 90.24
_cell_angle_gamma 114.29
loop_
_symmetry_equiv_pos_as_xyz
'x,y,z'
'-x,-y,-z'
loop_
_atom_site_label
_atom_site_type_symbol
_atom_site_fract_x
_atom_site_fract_y
_atom_site_fract_z
Cd1 Cd 0.1795 0.3600 0.1152
Cu1 Cu 0.1512 0.2997 0.5911
Ag1 Ag 0.4733 0.9493 0.7267
```

Principal peaks in the range 10 to 90 degrees two-theta, low angle first:
- (1 1 0), d 2.333, 2θ = 38.59°, I = 484
- (1 0 -2), d 2.324, 2θ = 38.75°, I = 1000
- (1 -1 2), d 2.318, 2θ = 38.85°, I = 515
- (0 2 -2), d 2.232, 2θ = 40.42°, I = 455
- (2 -1 0), d 2.193, 2θ = 41.17°, I = 461
- (0 1 2), d 1.737, 2θ = 52.69°, I = 163
- (2 1 -2), d 1.569, 2θ = 58.87°, I = 136
- (2 -3 2), d 1.559, 2θ = 59.26°, I = 133
- (-2 2 2), d 1.362, 2θ = 68.97°, I = 139
- (3 -2 2), d 1.288, 2θ = 73.54°, I = 138

***

# 6
Computed powder XRD pattern of ScCr4Sb for Cu Kα X-rays, from a cell relaxed with GGA-PBE.
No peak broadening, texture or thermal motion is included.

Cell and atoms:
```
data_ScCr4Sb
_chemical_formula_sum 'Sc4 Cr16 Sb4'
_symmetry_space_group_name_H-M 'F -4 3 m'
_symmetry_Int_Tables_number 216
_symmetry_space_group_name_Hall 'F -4 2 3'
_cell_length_a 7.0324
_cell_length_b 7.0324
_cell_length_c 7.0324
_cell_angle_alpha 90.00
_cell_angle_beta 90.00
_cell_angle_gamma 90.00
loop_
_atom_site_label
_atom_site_type_symbol
_atom_site_fract_x
_atom_site_fract_y
_atom_site_fract_z
Sc1 Sc 0.0000 0.0000 0.0000
Cr1 Cr 0.1243 0.1243 0.3757
Sb1 Sb 0.2500 0.2500 0.7500
```

Principal peaks in the range 10 to 90 degrees two-theta, low angle first:
- (1 1 1), d 4.060, 2θ = 21.89°, I = 110
- (2 0 0), d 3.516, 2θ = 25.33°, I = 104
- (2 2 0), d 2.486, 2θ = 36.13°, I = 418
- (3 1 1), d 2.120, 2θ = 42.64°, I = 1000
- (2 2 2), d 2.030, 2θ = 44.64°, I = 279
- (4 2 0), d 1.572, 2θ = 58.71°, I = 47
- (4 2 2), d 1.435, 2θ = 64.97°, I = 141
- (3 3 3), d 1.353, 2θ = 69.45°, I = 282
- (4 4 0), d 1.243, 2θ = 76.65°, I = 208
- (6 2 0), d 1.112, 2θ = 87.79°, I = 62

***

# 7
Computed powder XRD pattern of Ba3Cd11 for Cu Kα X-rays, from a cell relaxed with GGA-PBE.
No peak broadening, texture or thermal motion is included.

Cell and atoms:
```
data_Ba3Cd11
_chemical_formula_sum 'Ba6 Cd22'
_symmetry_space_group_name_H-M 'I m m m'
_symmetry_Int_Tables_number 71
_symmetry_space_group_name_Hall '-I 2 2'
_cell_length_a 5.1443
_cell_length_b 10.2910
_cell_length_c 15.1889
_cell_angle_alpha 90.00
_cell_angle_beta 90.00
_cell_angle_gamma 90.00
loop_
_atom_site_label
_atom_site_type_symbol
_atom_site_fract_x
_atom_site_fract_y
_atom_site_fract_z
Ba1 Ba 0.0000 0.0000 0.0000
Ba2 Ba 0.0000 0.0000 0.2972
Cd1 Cd 0.0000 0.1888 0.5000
Cd2 Cd 0.0000 0.2882 0.1360
Cd3 Cd 0.0000 0.3563 0.3378
Cd4 Cd 0.0000 0.5000 0.0000
```

Principal peaks in the range 10 to 90 degrees two-theta, low angle first:
- (0 2 4), d 3.055, 2θ = 29.23°, I = 305
- (1 2 3), d 2.954, 2θ = 30.25°, I = 1000
- (1 1 4), d 2.929, 2θ = 30.52°, I = 305
- (1 3 0), d 2.854, 2θ = 31.34°, I = 392
- (0 3 3), d 2.840, 2θ = 31.50°, I = 218
- (1 3 2), d 2.672, 2θ = 33.54°, I = 432
- (2 0 0), d 2.572, 2θ = 34.88°, I = 680
- (0 0 6), d 2.531, 2θ = 35.46°, I = 308
- (1 3 4), d 2.281, 2θ = 39.50°, I = 267
- (1 4 1), d 2.275, 2θ = 39.62°, I = 239

***

# 8
Computed powder XRD pattern of AgH2Cl for Cu Kα X-rays, from a cell relaxed with GGA-PBE.
No peak broadening, texture or thermal motion is included.

Cell and atoms:
```
data_AgH2Cl
_chemical_formula_sum 'Ag2 H4 Cl2'
_symmetry_space_group_name_H-M 'C 1 m 1'
_symmetry_Int_Tables_number 8
_cell_length_a 7.2412
_cell_length_b 7.5106
_cell_length_c 3.4556
_cell_angle_alpha 90.00
_cell_angle_beta 98.50
_cell_angle_gamma 90.00
loop_
_symmetry_equiv_pos_as_xyz
'x,y,z'
'x,-y,z'
'x+1/2,y+1/2,z'
'x+1/2,-y+1/2,z'
loop_
_atom_site_label
_atom_site_type_symbol
_atom_site_fract_x
_atom_site_fract_y
_atom_site_fract_z
Ag1 Ag 0.0000 0.0000 0.0000
H1 H 0.1150 0.5000 0.3265
H2 H 0.4841 0.5000 0.4956
Cl1 Cl 0.4958 0.0000 0.0078
```

Principal peaks in the range 10 to 90 degrees two-theta, low angle first:
- (1 1 0), d 5.183, 2θ = 17.11°, I = 992
- (0 2 0), d 3.755, 2θ = 23.69°, I = 1000
- (2 0 0), d 3.581, 2θ = 24.87°, I = 865
- (0 0 1), d 3.418, 2θ = 26.07°, I = 720
- (1 1 -1), d 3.005, 2θ = 29.73°, I = 261
- (2 0 -1), d 2.678, 2θ = 33.46°, I = 378
- (2 2 0), d 2.592, 2θ = 34.61°, I = 705
- (0 2 1), d 2.528, 2θ = 35.52°, I = 623
- (2 2 -1), d 2.180, 2θ = 41.41°, I = 406
- (2 2 1), d 1.966, 2θ = 46.17°, I = 283

***

# 9
Computed powder XRD pattern of Sm6Bi3C2 for Cu Kα X-rays, from a cell relaxed with GGA-PBE.
No peak broadening, texture or thermal motion is included.

Cell and atoms:
```
data_Sm6Bi3C2
_chemical_formula_sum 'Sm12 Bi6 C4'
_symmetry_space_group_name_H-M 'I 4/m m m'
_symmetry_Int_Tables_number 139
_symmetry_space_group_name_Hall '-I 4 2'
_cell_length_a 4.9020
_cell_length_b 4.9020
_cell_length_c 26.1931
_cell_angle_alpha 90.00
_cell_angle_beta 90.00
_cell_angle_gamma 90.00
loop_
_atom_site_label
_atom_site_type_symbol
_atom_site_fract_x
_atom_site_fract_y
_atom_site_fract_z
Sm1 Sm 0.0000 0.0000 0.1918
Sm2 Sm 0.0000 0.5000 0.0846
Bi1 Bi 0.0000 0.0000 0.3202
Bi2 Bi 0.0000 0.0000 0.5000
C1 C 0.0000 0.0000 0.1033
```

Principal peaks in the range 10 to 90 degrees two-theta, low angle first:
- (1 0 1), d 4.818, 2θ = 18.41°, I = 148
- (1 1 2), d 3.351, 2θ = 26.60°, I = 315
- (0 0 8), d 3.274, 2θ = 27.24°, I = 122
- (1 1 4), d 3.064, 2θ = 29.15°, I = 163
- (1 1 6), d 2.715, 2θ = 33.00°, I = 1000
- (2 0 0), d 2.451, 2θ = 36.67°, I = 508
- (2 0 10), d 1.790, 2θ = 51.03°, I = 151
- (2 2 0), d 1.733, 2θ = 52.82°, I = 179
- (2 0 12), d 1.630, 2θ = 56.45°, I = 118
- (3 1 6), d 1.461, 2θ = 63.71°, I = 309

***

# 10
Computed powder XRD pattern of KCeCuTe4 for Cu Kα X-rays, from a cell relaxed with GGA-PBE.
No peak broadening, texture or thermal motion is included.

Cell and atoms:
```
data_KCeCuTe4
_chemical_formula_sum 'K2 Ce2 Cu2 Te8'
_symmetry_space_group_name_H-M 'P 4/n m m'
_symmetry_Int_Tables_number 129
_cell_length_a 4.4508
_cell_length_b 4.4508
_cell_length_c 21.5492
_cell_angle_alpha 90.00
_cell_angle_beta 90.00
_cell_angle_gamma 90.00
loop_
_symmetry_equiv_pos_as_xyz
'x,y,z'
'-x,-y,-z'
'-y+1/2,x,z'
'y+1/2,-x,-z'
'-x+1/2,-y+1/2,z'
'x+1/2,y+1/2,-z'
'y,-x+1/2,z'
'-y,x+1/2,-z'
'x+1/2,-y,-z'
'-x+1/2,y,z'
'-y,-x,-z'
'y,x,z'
'-x,y+1/2,-z'
'x,-y+1/2,z'
'y+1/2,x+1/2,-z'
'-y+1/2,-x+1/2,z'
loop_
_atom_site_label
_atom_site_type_symbol
_atom_site_fract_x
_atom_site_fract_y
_atom_site_fract_z
K1 K 0.2500 0.2500 0.1444
Ce1 Ce 0.2500 0.2500 0.5976
Cu1 Cu 0.2500 0.7500 0.0000
Te1 Te 0.2500 0.2500 0.4447
Te2 Te 0.2500 0.2500 0.9302
Te3 Te 0.2500 0.7500 0.2894
```

Principal peaks in the range 10 to 90 degrees two-theta, low angle first:
- (0 0 3), d 7.183, 2θ = 12.32°, I = 625
- (1 0 4), d 3.431, 2θ = 25.97°, I = 331
- (0 0 7), d 3.078, 2θ = 29.01°, I = 298
- (1 1 2), d 3.021, 2θ = 29.57°, I = 1000
- (1 1 3), d 2.883, 2θ = 31.02°, I = 494
- (1 0 6), d 2.795, 2θ = 32.02°, I = 457
- (1 1 4), d 2.717, 2θ = 32.96°, I = 710
- (1 1 6), d 2.367, 2θ = 38.02°, I = 377
- (2 0 0), d 2.225, 2θ = 40.54°, I = 905
- (2 2 0), d 1.574, 2θ = 58.67°, I = 299

***

# 11
Computed powder XRD pattern of Na2Tl2Sn for Cu Kα X-rays, from a cell relaxed with GGA-PBE.
No peak broadening, texture or thermal motion is included.

Cell and atoms:
```
data_Na2Tl2Sn
_chemical_formula_sum 'Na2 Tl2 Sn1'
_symmetry_space_group_name_H-M 'P 1 2/m 1'
_symmetry_Int_Tables_number 10
_cell_length_a 5.2189
_cell_length_b 3.3604
_cell_length_c 8.4156
_cell_angle_alpha 90.00
_cell_angle_beta 107.62
_cell_angle_gamma 90.00
loop_
_symmetry_equiv_pos_as_xyz
'x,y,z'
'-x,-y,-z'
'-x,y,-z'
'x,-y,z'
loop_
_atom_site_label
_atom_site_type_symbol
_atom_site_fract_x
_atom_site_fract_y
_atom_site_fract_z
Na1 Na 0.1028 0.0000 0.2042
Tl1 Tl 0.3016 0.5000 0.6074
Sn1 Sn 0.5000 0.5000 0.0000
```

Principal peaks in the range 10 to 90 degrees two-theta, low angle first:
- (0 0 1), d 8.021, 2θ = 11.03°, I = 958
- (1 0 -1), d 4.962, 2θ = 17.87°, I = 1000
- (0 1 0), d 3.360, 2θ = 26.53°, I = 957
- (1 1 -1), d 2.782, 2θ = 32.17°, I = 914
- (1 0 2), d 2.743, 2θ = 32.65°, I = 822
- (1 0 -3), d 2.724, 2θ = 32.88°, I = 804
- (2 0 -1), d 2.609, 2θ = 34.37°, I = 724
- (1 1 2), d 2.125, 2θ = 42.55°, I = 553
- (1 1 -3), d 2.116, 2θ = 42.73°, I = 543
- (2 1 -1), d 2.061, 2θ = 43.93°, I = 510

***

# 12
Computed powder XRD pattern of AgPd6Au for Cu Kα X-rays, from a cell relaxed with GGA-PBE.
No peak broadening, texture or thermal motion is included.

Cell and atoms:
```
data_AgPd6Au
_chemical_formula_sum 'Ag2 Pd12 Au2'
_symmetry_space_group_name_H-M 'C 1 2/m 1'
_symmetry_Int_Tables_number 12
_cell_length_a 8.9851
_cell_length_b 3.9830
_cell_length_c 7.9848
_cell_angle_alpha 90.00
_cell_angle_beta 116.47
_cell_angle_gamma 90.00
loop_
_symmetry_equiv_pos_as_xyz
'x,y,z'
'-x,-y,-z'
'-x,y,-z'
'x,-y,z'
'x+1/2,y+1/2,z'
'-x+1/2,-y+1/2,-z'
'-x+1/2,y+1/2,-z'
'x+1/2,-y+1/2,z'
loop_
_atom_site_label
_atom_site_type_symbol
_atom_site_fract_x
_atom_site_fract_y
_atom_site_fract_z
Ag1 Ag 0.0000 0.0000 0.0000
Pd1 Pd 0.9996 0.5000 0.2492
Pd2 Pd 0.2500 0.0000 0.3745
Pd3 Pd 0.2499 0.0000 0.8754
Au1 Au 0.0000 0.0000 0.5000
```

Principal peaks in the range 10 to 90 degrees two-theta, low angle first:
- (1 1 2), d 2.309, 2θ = 39.01°, I = 1000
- (4 0 0), d 2.011, 2θ = 45.09°, I = 165
- (2 0 -4), d 1.996, 2θ = 45.44°, I = 161
- (0 2 0), d 1.991, 2θ = 45.55°, I = 160
- (4 2 0), d 1.415, 2θ = 66.02°, I = 155
- (2 2 -4), d 1.410, 2θ = 66.30°, I = 102
- (5 1 2), d 1.211, 2θ = 79.10°, I = 124
- (5 1 -6), d 1.204, 2θ = 79.61°, I = 122
- (1 3 2), d 1.202, 2θ = 79.77°, I = 121
- (6 2 -4), d 1.155, 2θ = 83.74°, I = 54

***

# 13
Computed powder XRD pattern of La6SnRu3 for Cu Kα X-rays, from a cell relaxed with GGA-PBE.
No peak broadening, texture or thermal motion is included.

Cell and atoms:
```
data_La6SnRu3
_chemical_formula_sum 'La12 Sn2 Ru6'
_symmetry_space_group_name_H-M 'P 1 21/m 1'
_symmetry_Int_Tables_number 11
_cell_length_a 11.9633
_cell_length_b 4.2244
_cell_length_c 12.4362
_cell_angle_alpha 90.00
_cell_angle_beta 108.03
_cell_angle_gamma 90.00
loop_
_symmetry_equiv_pos_as_xyz
'x,y,z'
'-x,-y,-z'
'-x,y+1/2,-z'
'x,-y+1/2,z'
loop_
_atom_site_label
_atom_site_type_symbol
_atom_site_fract_x
_atom_site_fract_y
_atom_site_fract_z
La1 La 0.0278 0.2500 0.3894
La2 La 0.1111 0.2500 0.9485
La3 La 0.2042 0.7500 0.2592
La4 La 0.2854 0.7500 0.7621
La5 La 0.3564 0.2500 0.5332
La6 La 0.4254 0.7500 0.0859
Sn1 Sn 0.4440 0.2500 0.3006
Ru1 Ru 0.0340 0.2500 0.1698
Ru2 Ru 0.1847 0.7500 0.5020
Ru3 Ru 0.3387 0.2500 0.9049
```

Principal peaks in the range 10 to 90 degrees two-theta, low angle first:
- (0 1 2), d 3.436, 2θ = 25.93°, I = 469
- (1 1 2), d 3.138, 2θ = 28.45°, I = 412
- (2 1 1), d 3.111, 2θ = 28.69°, I = 1000
- (2 0 -4), d 3.036, 2θ = 29.42°, I = 939
- (4 0 -2), d 2.943, 2θ = 30.37°, I = 418
- (3 1 0), d 2.822, 2θ = 31.71°, I = 584
- (4 1 0), d 2.361, 2θ = 38.12°, I = 430
- (4 1 -3), d 2.301, 2θ = 39.14°, I = 479
- (1 1 4), d 2.255, 2θ = 39.98°, I = 385
- (0 2 0), d 2.113, 2θ = 42.80°, I = 928

***

# 14
Computed powder XRD pattern of NpInGaGe for Cu Kα X-rays, from a cell relaxed with GGA-PBE.
No peak broadening, texture or thermal motion is included.

Cell and atoms:
```
data_NpInGaGe
_chemical_formula_sum 'Np1 In1 Ga1 Ge1'
_symmetry_space_group_name_H-M 'P m m m'
_symmetry_Int_Tables_number 47
_cell_length_a 4.1043
_cell_length_b 4.4065
_cell_length_c 4.6684
_cell_angle_alpha 90.00
_cell_angle_beta 90.00
_cell_angle_gamma 90.00
loop_
_symmetry_equiv_pos_as_xyz
'x,y,z'
'-x,-y,-z'
'-x,-y,z'
'x,y,-z'
'x,-y,-z'
'-x,y,z'
'-x,y,-z'
'x,-y,z'
loop_
_atom_site_label
_atom_site_type_symbol
_atom_site_fract_x
_atom_site_fract_y
_atom_site_fract_z
Np1 Np 0.0000 0.0000 0.0000
In1 In 0.0000 0.5000 0.5000
Ga1 Ga 0.5000 0.0000 0.5000
Ge1 Ge 0.5000 0.5000 0.0000
```

Principal peaks in the range 10 to 90 degrees two-theta, low angle first:
- (1 0 0), d 4.104, 2θ = 21.65°, I = 136
- (0 1 1), d 3.204, 2θ = 27.84°, I = 149
- (1 1 1), d 2.526, 2θ = 35.54°, I = 1000
- (0 0 2), d 2.334, 2θ = 38.57°, I = 200
- (0 2 0), d 2.203, 2θ = 40.96°, I = 169
- (2 0 0), d 2.052, 2θ = 44.13°, I = 137
- (0 2 2), d 1.602, 2θ = 57.52°, I = 124
- (1 1 3), d 1.382, 2θ = 67.83°, I = 156
- (1 3 1), d 1.326, 2θ = 71.10°, I = 132
- (2 2 2), d 1.263, 2θ = 75.24°, I = 112